(1)
The following is a computed powder XRD pattern of FeNiSe4. It was derived from the GGA-PBE geometry in the Materials Project, using λ = 1.5418 Å (Cu Kα).
Neutral-atom scattering factors, no anomalous dispersion.

Crystal structure
```
FeNiSe4
1.0
5.852 0.000 0.000
0.000 5.876 0.000
-0.025 0.000 5.846
Fe Ni Se
2 2 8
direct
0.000 0.000 0.000
0.000 0.500 0.500
0.500 0.000 0.500
0.500 0.500 0.000
0.117 0.129 0.629
0.117 0.371 0.129
0.370 0.620 0.617
0.370 0.880 0.117
0.630 0.120 0.883
0.630 0.380 0.383
0.883 0.629 0.871
0.883 0.871 0.371
```

Top 10 peaks for 2θ from 5° to 70°, most intense first:
2θ (°)	d_spacing	Rel. int.
34.20	2.622	100
37.57	2.394	72
51.76	1.766	28
51.64	1.770	28
51.88	1.762	27
37.70	2.386	26
34.35	2.611	25
58.91	1.568	24
30.57	2.925	19
43.67	2.073	16

(2)
The following is a computed powder XRD pattern of TcAgO2. It was derived from the GGA-PBE geometry in the Materials Project, using λ = 1.5418 Å (Cu Kα).
Neutral-atom scattering factors, no anomalous dispersion.

Crystal structure
```
TcAgO2
1.0
-3.023 3.023 5.966
3.023 -3.023 5.966
3.023 3.023 -5.966
Tc Ag O
4 4 8
direct
0.000 0.000 0.000
0.000 0.000 0.500
0.000 0.500 0.000
0.500 0.000 0.500
0.000 0.500 0.500
0.500 0.000 0.000
0.500 0.500 0.000
0.500 0.500 0.500
0.146 0.697 0.448
0.251 0.303 0.948
0.303 0.251 0.448
0.303 0.854 0.052
0.697 0.146 0.948
0.697 0.749 0.552
0.749 0.697 0.052
0.854 0.303 0.552
```

Top 10 peaks for 2θ from 5° to 70°, most intense first:
2θ (°)	d_spacing	Rel. int.
33.22	2.697	100
29.96	2.983	45
42.28	2.138	40
52.68	1.738	35
55.30	1.661	31
69.75	1.348	14
61.33	1.512	12
62.25	1.491	4
34.00	2.637	1
40.65	2.220	1

(3)
The following is a computed powder XRD pattern of Na2CaSiO4. It was derived from the GGA-PBE geometry in the Materials Project, using λ = 1.5418 Å (Cu Kα).
Neutral-atom scattering factors, no anomalous dispersion.

Crystal structure
```
Na2CaSiO4
1.0
7.541 0.000 0.000
0.000 7.541 0.000
0.000 0.000 7.541
Na Ca Si O
8 4 4 16
direct
0.007 0.493 0.507
0.225 0.225 0.225
0.275 0.775 0.725
0.493 0.507 0.007
0.507 0.007 0.493
0.725 0.275 0.775
0.775 0.725 0.275
0.993 0.993 0.993
0.038 0.538 0.962
0.462 0.462 0.462
0.538 0.962 0.038
0.962 0.038 0.538
0.242 0.258 0.742
0.258 0.742 0.242
0.742 0.242 0.258
0.758 0.758 0.758
0.029 0.235 0.790
0.134 0.866 0.366
0.210 0.529 0.265
0.235 0.790 0.029
0.265 0.210 0.529
0.290 0.471 0.765
0.366 0.134 0.866
0.471 0.765 0.290
0.529 0.265 0.210
0.634 0.634 0.634
0.710 0.971 0.735
0.735 0.710 0.971
0.765 0.290 0.471
0.790 0.029 0.235
0.866 0.366 0.134
0.971 0.735 0.710
```

Top 10 peaks for 2θ from 5° to 70°, most intense first:
2θ (°)	d_spacing	Rel. int.
33.61	2.666	100
48.27	1.885	25
60.11	1.539	25
20.40	4.354	24
44.98	2.015	24
37.72	2.385	24
43.26	2.092	11
16.62	5.332	10
62.83	1.479	9
35.72	2.514	9